[1]
Diffraction record for Ba10Cu5O17. The powder XRD pattern is theoretical, not measured: it uses DFT lattice parameters and positions (GGA-PBE) and Cu Kα (λ = 1.5418 Å).
Lines closer than 0.1° are merged.

Structural model:
```
data_Ba10Cu5O17
_chemical_formula_sum 'Ba10 Cu5 O17'
_cell_length_a 5.796
_cell_length_b 9.086
_cell_length_c 10.829
_cell_angle_alpha 93.98
_cell_angle_beta 91.96
_cell_angle_gamma 107.00
_symmetry_space_group_name_H-M 'P 1'
_symmetry_Int_Tables_number 1
loop_
_symmetry_equiv_pos_as_xyz
'x,y,z'
loop_
_atom_site_label
_atom_site_type_symbol
_atom_site_fract_x
_atom_site_fract_y
_atom_site_fract_z
_atom_site_occupancy
Ba1 Ba 0.034 0.030 0.184 1
Ba2 Ba 0.198 0.373 0.411 1
Ba3 Ba 0.219 0.429 0.783 1
Ba4 Ba 0.396 0.773 0.012 1
Ba5 Ba 0.411 0.826 0.382 1
Ba6 Ba 0.589 0.174 0.618 1
Ba7 Ba 0.604 0.227 0.988 1
Ba8 Ba 0.781 0.571 0.217 1
Ba9 Ba 0.802 0.627 0.589 1
Ba10 Ba 0.966 0.970 0.816 1
Cu1 Cu 0.000 0.000 0.500 1
Cu2 Cu 0.208 0.398 0.102 1
Cu3 Cu 0.383 0.793 0.706 1
Cu4 Cu 0.617 0.207 0.294 1
Cu5 Cu 0.792 0.602 0.898 1
O1 O 0.077 0.692 0.807 1
O2 O 0.089 0.178 0.617 1
O3 O 0.098 0.228 0.974 1
O4 O 0.277 0.085 0.414 1
O5 O 0.280 0.585 0.212 1
O6 O 0.286 0.632 0.575 1
O7 O 0.410 0.297 0.204 1
O8 O 0.454 0.982 0.810 1
O9 O 0.500 0.500 0.000 1
O10 O 0.546 0.018 0.190 1
O11 O 0.590 0.703 0.796 1
O12 O 0.714 0.368 0.425 1
O13 O 0.720 0.415 0.788 1
O14 O 0.723 0.915 0.586 1
O15 O 0.902 0.772 0.026 1
O16 O 0.911 0.822 0.383 1
O17 O 0.923 0.308 0.193 1
```

The 6 most intense peaks (5° ≤ 2θ ≤ 70°), by angle:
2θ/deg	d (Å)	I_rel
29.7	3.006	90
30.4	2.940	100
30.9	2.895	67
31.0	2.886	68
41.8	2.159	46
43.3	2.089	32

=====

[2]
Diffraction record for Rb2NaNiBr6. The powder XRD pattern is theoretical, not measured: it uses DFT lattice parameters and positions (GGA-PBE) and Cu Kα (λ = 1.5418 Å).
Lines closer than 0.1° are merged.

Structural model:
```
data_Rb2NaNiBr6
_chemical_formula_sum 'Rb2 Na1 Ni1 Br6'
_cell_length_a 7.638
_cell_length_b 7.638
_cell_length_c 7.638
_cell_angle_alpha 120.05
_cell_angle_beta 119.95
_cell_angle_gamma 90.01
_symmetry_space_group_name_H-M 'P 1'
_symmetry_Int_Tables_number 1
loop_
_symmetry_equiv_pos_as_xyz
'x,y,z'
loop_
_atom_site_label
_atom_site_type_symbol
_atom_site_fract_x
_atom_site_fract_y
_atom_site_fract_z
_atom_site_occupancy
Rb1 Rb 0.250 0.250 0.000 1
Rb2 Rb 0.750 0.750 0.000 1
Na1 Na 0.500 0.000 0.500 1
Ni1 Ni 0.000 0.500 0.500 1
Br1 Br 0.230 0.270 0.500 1
Br2 Br 0.230 0.730 0.500 1
Br3 Br 0.230 0.730 0.960 1
Br4 Br 0.770 0.270 0.040 1
Br5 Br 0.770 0.270 0.500 1
Br6 Br 0.770 0.730 0.500 1
```

The 6 most intense peaks (5° ≤ 2θ ≤ 70°), by angle:
2θ/deg	d (Å)	I_rel
14.2	6.236	18
28.6	3.118	100
33.2	2.700	87
47.6	1.909	58
56.5	1.628	37
59.3	1.559	19

=====

[3]
Diffraction record for InPb5Cl11. The powder XRD pattern is theoretical, not measured: it uses DFT lattice parameters and positions (GGA-PBE) and Cu Kα (λ = 1.5418 Å).
Lines closer than 0.1° are merged.

Structural model:
```
data_InPb5Cl11
_chemical_formula_sum 'In1 Pb5 Cl11'
_cell_length_a 8.950
_cell_length_b 8.950
_cell_length_c 9.438
_cell_angle_alpha 97.49
_cell_angle_beta 97.49
_cell_angle_gamma 118.80
_symmetry_space_group_name_H-M 'P 1'
_symmetry_Int_Tables_number 1
loop_
_symmetry_equiv_pos_as_xyz
'x,y,z'
loop_
_atom_site_label
_atom_site_type_symbol
_atom_site_fract_x
_atom_site_fract_y
_atom_site_fract_z
_atom_site_occupancy
In1 In 0.000 0.000 0.000 1
Pb1 Pb 0.063 0.357 0.653 1
Pb2 Pb 0.357 0.063 0.653 1
Pb3 Pb 0.500 0.500 0.000 1
Pb4 Pb 0.643 0.937 0.347 1
Pb5 Pb 0.937 0.643 0.347 1
Cl1 Cl 0.000 0.000 0.500 1
Cl2 Cl 0.116 0.700 0.664 1
Cl3 Cl 0.129 0.382 0.955 1
Cl4 Cl 0.300 0.884 0.336 1
Cl5 Cl 0.382 0.129 0.955 1
Cl6 Cl 0.423 0.423 0.677 1
Cl7 Cl 0.577 0.577 0.323 1
Cl8 Cl 0.618 0.871 0.045 1
Cl9 Cl 0.700 0.116 0.664 1
Cl10 Cl 0.871 0.618 0.045 1
Cl11 Cl 0.884 0.300 0.336 1
```

The 6 most intense peaks (5° ≤ 2θ ≤ 70°), by angle:
2θ/deg	d (Å)	I_rel
13.4	6.631	100
15.1	5.886	39
21.1	4.209	35
29.4	3.041	41
30.8	2.899	52
34.4	2.610	32

=====

[4]
Diffraction record for AcSI. The powder XRD pattern is theoretical, not measured: it uses DFT lattice parameters and positions (GGA-PBE) and Cu Kα (λ = 1.5418 Å).
Lines closer than 0.1° are merged.

Structural model:
```
data_AcSI
_chemical_formula_sum 'Ac8 S8 I8'
_cell_length_a 7.278
_cell_length_b 15.473
_cell_length_c 7.544
_cell_angle_alpha 90.00
_cell_angle_beta 90.00
_cell_angle_gamma 90.00
_symmetry_space_group_name_H-M 'P 1'
_symmetry_Int_Tables_number 1
loop_
_symmetry_equiv_pos_as_xyz
'x,y,z'
loop_
_atom_site_label
_atom_site_type_symbol
_atom_site_fract_x
_atom_site_fract_y
_atom_site_fract_z
_atom_site_occupancy
Ac1 Ac 0.245 0.088 0.024 1
Ac2 Ac 0.245 0.412 0.524 1
Ac3 Ac 0.255 0.588 0.024 1
Ac4 Ac 0.255 0.912 0.524 1
Ac5 Ac 0.745 0.088 0.476 1
Ac6 Ac 0.745 0.412 0.976 1
Ac7 Ac 0.755 0.588 0.476 1
Ac8 Ac 0.755 0.912 0.976 1
S1 S 0.000 0.017 0.745 1
S2 S 0.000 0.483 0.245 1
S3 S 0.000 0.517 0.755 1
S4 S 0.000 0.983 0.255 1
S5 S 0.500 0.017 0.755 1
S6 S 0.500 0.483 0.255 1
S7 S 0.500 0.517 0.745 1
S8 S 0.500 0.983 0.245 1
I1 I 0.189 0.698 0.416 1
I2 I 0.189 0.802 0.916 1
I3 I 0.311 0.198 0.416 1
I4 I 0.311 0.302 0.916 1
I5 I 0.689 0.698 0.084 1
I6 I 0.689 0.802 0.584 1
I7 I 0.811 0.198 0.084 1
I8 I 0.811 0.302 0.584 1
```

The 6 most intense peaks (5° ≤ 2θ ≤ 70°), by angle:
2θ/deg	d (Å)	I_rel
20.5	4.337	52
23.6	3.772	31
24.5	3.639	38
28.7	3.112	100
34.2	2.619	35
39.7	2.272	18

=====

[5]
Diffraction record for CaZn3S. The powder XRD pattern is theoretical, not measured: it uses DFT lattice parameters and positions (GGA-PBE) and Cu Kα (λ = 1.5418 Å).
Lines closer than 0.1° are merged.

Structural model:
```
data_CaZn3S
_chemical_formula_sum 'Ca1 Zn3 S1'
_cell_length_a 4.913
_cell_length_b 4.913
_cell_length_c 4.913
_cell_angle_alpha 90.00
_cell_angle_beta 90.00
_cell_angle_gamma 90.00
_symmetry_space_group_name_H-M 'P 1'
_symmetry_Int_Tables_number 1
loop_
_symmetry_equiv_pos_as_xyz
'x,y,z'
loop_
_atom_site_label
_atom_site_type_symbol
_atom_site_fract_x
_atom_site_fract_y
_atom_site_fract_z
_atom_site_occupancy
Ca1 Ca 0.000 0.000 0.000 1
Zn1 Zn 0.000 0.500 0.500 1
Zn2 Zn 0.500 0.000 0.500 1
Zn3 Zn 0.500 0.500 0.000 1
S1 S 0.500 0.500 0.500 1
```

The 6 most intense peaks (5° ≤ 2θ ≤ 70°), by angle:
2θ/deg	d (Å)	I_rel
18.1	4.913	24
31.5	2.837	100
36.6	2.457	84
52.7	1.737	55
62.7	1.481	38
65.9	1.418	18

=====

[6]
Diffraction record for Tm2Si7Tc12. The powder XRD pattern is theoretical, not measured: it uses DFT lattice parameters and positions (GGA-PBE) and Cu Kα (λ = 1.5418 Å).
Lines closer than 0.1° are merged.

Structural model:
```
data_Tm2Si7Tc12
_chemical_formula_sum 'Tm2 Si7 Tc12'
_cell_length_a 10.815
_cell_length_b 10.815
_cell_length_c 3.084
_cell_angle_alpha 90.00
_cell_angle_beta 90.00
_cell_angle_gamma 120.00
_symmetry_space_group_name_H-M 'P 1'
_symmetry_Int_Tables_number 1
loop_
_symmetry_equiv_pos_as_xyz
'x,y,z'
loop_
_atom_site_label
_atom_site_type_symbol
_atom_site_fract_x
_atom_site_fract_y
_atom_site_fract_z
_atom_site_occupancy
Tm1 Tm 0.333 0.667 0.244 1
Tm2 Tm 0.667 0.333 0.756 1
Si1 Si 0.000 0.000 0.500 1
Si2 Si 0.123 0.426 0.743 1
Si3 Si 0.303 0.877 0.743 1
Si4 Si 0.426 0.303 0.257 1
Si5 Si 0.574 0.697 0.743 1
Si6 Si 0.697 0.123 0.257 1
Si7 Si 0.877 0.574 0.257 1
Tc1 Tc 0.074 0.631 0.752 1
Tc2 Tc 0.115 0.866 0.241 1
Tc3 Tc 0.134 0.250 0.241 1
Tc4 Tc 0.250 0.115 0.759 1
Tc5 Tc 0.369 0.443 0.752 1
Tc6 Tc 0.443 0.074 0.248 1
Tc7 Tc 0.557 0.926 0.752 1
Tc8 Tc 0.631 0.557 0.248 1
Tc9 Tc 0.750 0.885 0.241 1
Tc10 Tc 0.866 0.750 0.759 1
Tc11 Tc 0.885 0.134 0.759 1
Tc12 Tc 0.926 0.369 0.248 1
```

The 6 most intense peaks (5° ≤ 2θ ≤ 70°), by angle:
2θ/deg	d (Å)	I_rel
25.2	3.540	22
38.4	2.341	12
38.7	2.325	100
42.1	2.149	16
44.3	2.044	27
60.3	1.535	12

=====

[7]
Diffraction record for LiTlZnGe. The powder XRD pattern is theoretical, not measured: it uses DFT lattice parameters and positions (GGA-PBE) and Cu Kα (λ = 1.5418 Å).
Lines closer than 0.1° are merged.

Structural model:
```
data_LiTlZnGe
_chemical_formula_sum 'Li1 Tl1 Zn1 Ge1'
_cell_length_a 3.985
_cell_length_b 4.150
_cell_length_c 4.714
_cell_angle_alpha 90.00
_cell_angle_beta 90.00
_cell_angle_gamma 90.00
_symmetry_space_group_name_H-M 'P 1'
_symmetry_Int_Tables_number 1
loop_
_symmetry_equiv_pos_as_xyz
'x,y,z'
loop_
_atom_site_label
_atom_site_type_symbol
_atom_site_fract_x
_atom_site_fract_y
_atom_site_fract_z
_atom_site_occupancy
Li1 Li 0.000 0.000 0.000 1
Tl1 Tl 0.500 0.500 0.000 1
Zn1 Zn 0.000 0.500 0.500 1
Ge1 Ge 0.500 0.000 0.500 1
```

The 6 most intense peaks (5° ≤ 2θ ≤ 70°), by angle:
2θ/deg	d (Å)	I_rel
21.4	4.150	28
22.3	3.985	28
28.7	3.115	30
29.3	3.043	26
36.6	2.454	100
38.2	2.357	22

=====

[8]
Diffraction record for Eu2Be2SiO7. The powder XRD pattern is theoretical, not measured: it uses DFT lattice parameters and positions (GGA-PBE) and Cu Kα (λ = 1.5418 Å).
Lines closer than 0.1° are merged.

Structural model:
```
data_Eu2Be2SiO7
_chemical_formula_sum 'Eu4 Be4 Si2 O14'
_cell_length_a 7.454
_cell_length_b 7.454
_cell_length_c 4.911
_cell_angle_alpha 90.00
_cell_angle_beta 90.00
_cell_angle_gamma 90.00
_symmetry_space_group_name_H-M 'P 1'
_symmetry_Int_Tables_number 1
loop_
_symmetry_equiv_pos_as_xyz
'x,y,z'
loop_
_atom_site_label
_atom_site_type_symbol
_atom_site_fract_x
_atom_site_fract_y
_atom_site_fract_z
_atom_site_occupancy
Eu1 Eu 0.161 0.339 0.002 1
Eu2 Eu 0.339 0.839 0.998 1
Eu3 Eu 0.661 0.161 0.998 1
Eu4 Eu 0.839 0.661 0.002 1
Be1 Be 0.137 0.637 0.541 1
Be2 Be 0.363 0.137 0.459 1
Be3 Be 0.637 0.863 0.459 1
Be4 Be 0.863 0.363 0.541 1
Si1 Si 0.000 0.000 0.500 1
Si2 Si 0.500 0.500 0.500 1
O1 O 0.000 0.500 0.671 1
O2 O 0.079 0.835 0.690 1
O3 O 0.140 0.640 0.213 1
O4 O 0.165 0.079 0.310 1
O5 O 0.335 0.579 0.690 1
O6 O 0.360 0.140 0.787 1
O7 O 0.421 0.335 0.310 1
O8 O 0.500 0.000 0.329 1
O9 O 0.579 0.665 0.310 1
O10 O 0.640 0.860 0.787 1
O11 O 0.665 0.421 0.690 1
O12 O 0.835 0.921 0.310 1
O13 O 0.860 0.360 0.213 1
O14 O 0.921 0.165 0.690 1
```

The 6 most intense peaks (5° ≤ 2θ ≤ 70°), by angle:
2θ/deg	d (Å)	I_rel
18.1	4.911	48
24.8	3.593	24
26.7	3.333	49
30.1	2.969	31
32.5	2.758	100
45.9	1.977	42

=====

[9]
Diffraction record for CsTlSb2Pb. The powder XRD pattern is theoretical, not measured: it uses DFT lattice parameters and positions (GGA-PBE) and Cu Kα (λ = 1.5418 Å).
Lines closer than 0.1° are merged.

Structural model:
```
data_CsTlSb2Pb
_chemical_formula_sum 'Cs1 Tl1 Sb2 Pb1'
_cell_length_a 7.667
_cell_length_b 7.667
_cell_length_c 7.667
_cell_angle_alpha 141.95
_cell_angle_beta 135.54
_cell_angle_gamma 59.92
_symmetry_space_group_name_H-M 'P 1'
_symmetry_Int_Tables_number 1
loop_
_symmetry_equiv_pos_as_xyz
'x,y,z'
loop_
_atom_site_label
_atom_site_type_symbol
_atom_site_fract_x
_atom_site_fract_y
_atom_site_fract_z
_atom_site_occupancy
Cs1 Cs 0.000 0.000 0.000 1
Tl1 Tl 0.238 0.738 0.500 1
Sb1 Sb 0.371 0.371 0.000 1
Sb2 Sb 0.775 0.275 0.500 1
Pb1 Pb 0.631 0.631 0.000 1
```

The 6 most intense peaks (5° ≤ 2θ ≤ 70°), by angle:
2θ/deg	d (Å)	I_rel
26.9	3.315	65
27.1	3.290	100
30.8	2.900	58
36.0	2.498	99
41.4	2.183	41
48.1	1.893	34

=====

[10]
Diffraction record for Y4Bi2Pb. The powder XRD pattern is theoretical, not measured: it uses DFT lattice parameters and positions (GGA-PBE) and Cu Kα (λ = 1.5418 Å).
Lines closer than 0.1° are merged.

Structural model:
```
data_Y4Bi2Pb
_chemical_formula_sum 'Y8 Bi4 Pb2'
_cell_length_a 8.444
_cell_length_b 8.444
_cell_length_c 8.444
_cell_angle_alpha 108.94
_cell_angle_beta 108.94
_cell_angle_gamma 110.53
_symmetry_space_group_name_H-M 'P 1'
_symmetry_Int_Tables_number 1
loop_
_symmetry_equiv_pos_as_xyz
'x,y,z'
loop_
_atom_site_label
_atom_site_type_symbol
_atom_site_fract_x
_atom_site_fract_y
_atom_site_fract_z
_atom_site_occupancy
Y1 Y 0.187 0.248 0.561 1
Y2 Y 0.187 0.626 0.939 1
Y3 Y 0.248 0.187 0.061 1
Y4 Y 0.374 0.813 0.561 1
Y5 Y 0.626 0.187 0.439 1
Y6 Y 0.752 0.813 0.939 1
Y7 Y 0.813 0.374 0.061 1
Y8 Y 0.813 0.752 0.439 1
Bi1 Bi 0.000 0.500 0.500 1
Bi2 Bi 0.500 0.000 0.000 1
Bi3 Bi 0.500 0.500 0.000 1
Bi4 Bi 0.500 0.500 0.500 1
Pb1 Pb 0.125 0.875 0.250 1
Pb2 Pb 0.875 0.125 0.750 1
```

The 6 most intense peaks (5° ≤ 2θ ≤ 70°), by angle:
2θ/deg	d (Å)	I_rel
22.3	3.993	72
25.7	3.470	52
29.3	3.049	100
34.2	2.619	92
36.6	2.453	61
45.9	1.977	38

=====

[11]
Diffraction record for Pa3Ni2As2P4. The powder XRD pattern is theoretical, not measured: it uses DFT lattice parameters and positions (GGA-PBE) and Cu Kα (λ = 1.5418 Å).
Lines closer than 0.1° are merged.

Structural model:
```
data_Pa3Ni2As2P4
_chemical_formula_sum 'Pa3 Ni2 As2 P4'
_cell_length_a 12.069
_cell_length_b 12.069
_cell_length_c 12.069
_cell_angle_alpha 159.86
_cell_angle_beta 159.86
_cell_angle_gamma 28.63
_symmetry_space_group_name_H-M 'P 1'
_symmetry_Int_Tables_number 1
loop_
_symmetry_equiv_pos_as_xyz
'x,y,z'
loop_
_atom_site_label
_atom_site_type_symbol
_atom_site_fract_x
_atom_site_fract_y
_atom_site_fract_z
_atom_site_occupancy
Pa1 Pa 0.000 0.000 0.000 1
Pa2 Pa 0.165 0.165 0.000 1
Pa3 Pa 0.835 0.835 0.000 1
Ni1 Ni 0.389 0.389 0.000 1
Ni2 Ni 0.611 0.611 0.000 1
As1 As 0.291 0.291 0.000 1
As2 As 0.709 0.709 0.000 1
P1 P 0.080 0.580 0.500 1
P2 P 0.420 0.920 0.500 1
P3 P 0.580 0.080 0.500 1
P4 P 0.920 0.420 0.500 1
```

The 6 most intense peaks (5° ≤ 2θ ≤ 70°), by angle:
2θ/deg	d (Å)	I_rel
21.4	4.153	62
28.5	3.133	54
29.9	2.984	100
34.2	2.620	74
38.0	2.369	80
42.9	2.110	64

=====

[12]
Diffraction record for InBi2Se4. The powder XRD pattern is theoretical, not measured: it uses DFT lattice parameters and positions (GGA-PBE) and Cu Kα (λ = 1.5418 Å).
Lines closer than 0.1° are merged.

Structural model:
```
data_InBi2Se4
_chemical_formula_sum 'In2 Bi4 Se8'
_cell_length_a 7.333
_cell_length_b 12.088
_cell_length_c 4.424
_cell_angle_alpha 90.00
_cell_angle_beta 90.00
_cell_angle_gamma 90.00
_symmetry_space_group_name_H-M 'P 1'
_symmetry_Int_Tables_number 1
loop_
_symmetry_equiv_pos_as_xyz
'x,y,z'
loop_
_atom_site_label
_atom_site_type_symbol
_atom_site_fract_x
_atom_site_fract_y
_atom_site_fract_z
_atom_site_occupancy
In1 In 0.000 0.000 0.000 1
In2 In 0.500 0.500 0.000 1
Bi1 Bi 0.101 0.323 0.500 1
Bi2 Bi 0.399 0.823 0.500 1
Bi3 Bi 0.601 0.177 0.500 1
Bi4 Bi 0.899 0.677 0.500 1
Se1 Se 0.137 0.790 0.000 1
Se2 Se 0.242 0.050 0.500 1
Se3 Se 0.258 0.550 0.500 1
Se4 Se 0.363 0.290 0.000 1
Se5 Se 0.637 0.710 0.000 1
Se6 Se 0.742 0.450 0.500 1
Se7 Se 0.758 0.950 0.500 1
Se8 Se 0.863 0.210 0.000 1
```

The 6 most intense peaks (5° ≤ 2θ ≤ 70°), by angle:
2θ/deg	d (Å)	I_rel
24.6	3.615	62
25.2	3.531	52
32.0	2.794	48
32.6	2.749	100
35.1	2.558	36
40.8	2.212	37

=====

Which formula does entry 1 have?
Ba10Cu5O17